This entry pairs a crystal structure of AgOsBrCl6 with its computed powder X-ray diffraction pattern. Radiation: Cu Kα. Structure: a structure optimized by DFT (GGA-PBE).
Lines closer than 0.1° are merged.

a b c (Å): 6.7691 6.7691 7.4708
angles (deg): 100.48 100.48 119.35
Atoms (fractional coordinates):
Ag 0.0000 0.0000 0.0000
Os 0.3537 0.6463 0.0000
Br 0.7308 0.2692 0.5000
Cl 0.1686 0.4594 0.2055
Cl 0.2584 0.2792 0.8098
Cl 0.4139 0.0066 0.1799
Cl 0.5406 0.8314 0.7945
Cl 0.7208 0.7416 0.1902
Cl 0.9934 0.5861 0.8201

Peak list (6 most intense, 2θ = 15–90°, by angle)
2θ (°), I (rel.)
15.16, 39
16.89, 100
19.83, 63
26.82, 60
30.43, 63
31.93, 64